Record 1
Starting from DFT lattice parameters and positions (GGA-PBE), the PXRD pattern of AlSi2O6 was calculated for Cu Kα, 1.54184 Å.
Intensities are scaled so that the largest is 100.

Cell: 5.257 5.262 9.627 Å, 86.31 79.16 60.23°
Atoms (fractional coordinates):
Al (0.186, 0.186, 0.000)
Al (0.814, 0.814, 0.000)
Si (0.243, 0.502, 0.710)
Si (0.411, 0.154, 0.290)
Si (0.589, 0.846, 0.710)
Si (0.757, 0.498, 0.290)
O (0.055, 0.923, 0.070)
O (0.056, 0.288, 0.355)
O (0.143, 0.493, 0.883)
O (0.397, 0.167, 0.645)
O (0.457, 0.106, 0.117)
O (0.481, 0.621, 0.671)
O (0.519, 0.379, 0.329)
O (0.543, 0.894, 0.883)
O (0.603, 0.833, 0.355)
O (0.857, 0.507, 0.117)
O (0.944, 0.712, 0.645)
O (0.945, 0.077, 0.930)

Top 8 peaks for 2θ = 15–90°, by intensity:
d/Å	2θ (°)	Rel. int.
4.499	19.73	100
3.150	28.33	76
4.166	21.33	74
4.371	20.32	58
3.229	27.63	26
2.446	36.74	24
4.317	20.57	23
2.996	29.82	22

=====

Record 2
Starting from DFT lattice parameters and positions (GGA-PBE), the PXRD pattern of SiO2 was calculated for Cu Kα, 1.54184 Å.
Intensities are scaled so that the largest is 100.

Cell: 8.793 8.793 8.793 Å, 90.00 90.00 90.00°
Atoms (fractional coordinates):
Si (0.084, 0.336, 0.144)
Si (0.084, 0.664, 0.856)
Si (0.144, 0.084, 0.336)
Si (0.144, 0.916, 0.664)
Si (0.336, 0.144, 0.084)
Si (0.336, 0.856, 0.916)
Si (0.664, 0.144, 0.916)
Si (0.664, 0.856, 0.084)
Si (0.856, 0.084, 0.664)
Si (0.856, 0.916, 0.336)
Si (0.916, 0.336, 0.856)
Si (0.916, 0.664, 0.144)
O (0.000, 0.000, 0.252)
O (0.000, 0.000, 0.748)
O (0.000, 0.252, 0.000)
O (0.000, 0.500, 0.165)
O (0.000, 0.500, 0.835)
O (0.000, 0.748, 0.000)
O (0.084, 0.262, 0.317)
O (0.084, 0.738, 0.683)
O (0.165, 0.000, 0.500)
O (0.252, 0.000, 0.000)
O (0.262, 0.317, 0.084)
O (0.262, 0.683, 0.916)
O (0.317, 0.084, 0.262)
O (0.317, 0.916, 0.738)
O (0.500, 0.165, 0.000)
O (0.500, 0.835, 0.000)
O (0.683, 0.084, 0.738)
O (0.683, 0.916, 0.262)
O (0.738, 0.317, 0.916)
O (0.738, 0.683, 0.084)
O (0.748, 0.000, 0.000)
O (0.835, 0.000, 0.500)
O (0.916, 0.262, 0.683)
O (0.916, 0.738, 0.317)

Top 8 peaks for 2θ = 15–90°, by intensity:
d/Å	2θ (°)	Rel. int.
5.077	17.47	100
3.932	22.61	21
2.781	32.19	20
3.590	24.80	19
2.651	33.81	19
2.133	42.38	14
2.538	35.36	13
2.073	43.67	13

=====

Record 3
Starting from DFT lattice parameters and positions (GGA-PBE), the PXRD pattern of KNdYSbO6 was calculated for Cu Kα, 1.54184 Å.
Intensities are scaled so that the largest is 100.

Cell: 5.918 5.918 5.918 Å, 60.00 60.00 60.00°
Atoms (fractional coordinates):
K (0.000, 0.000, 0.000)
Nd (0.500, 0.500, 0.500)
Y (0.250, 0.250, 0.250)
Sb (0.750, 0.750, 0.750)
O (0.513, 0.513, 0.987)
O (0.513, 0.987, 0.513)
O (0.513, 0.987, 0.987)
O (0.987, 0.513, 0.513)
O (0.987, 0.513, 0.987)
O (0.987, 0.987, 0.513)

Top 8 peaks for 2θ = 15–90°, by intensity:
d/Å	2θ (°)	Rel. int.
2.959	30.20	100
1.708	53.65	39
2.092	43.24	33
1.118	87.14	21
1.480	62.80	20
4.832	18.36	20
1.323	71.26	17
2.524	35.57	11

=====

Record 4
Starting from DFT lattice parameters and positions (GGA-PBE), the PXRD pattern of Ca2InPt2 was calculated for Cu Kα, 1.54184 Å.
Intensities are scaled so that the largest is 100.

Cell: 5.846 5.846 8.229 Å, 102.75 102.75 58.55°
Atoms (fractional coordinates):
Ca (0.002, 0.296, 0.149)
Ca (0.296, 0.002, 0.649)
Ca (0.704, 0.998, 0.351)
Ca (0.998, 0.704, 0.851)
In (0.348, 0.652, 0.250)
In (0.652, 0.348, 0.750)
Pt (0.224, 0.503, 0.496)
Pt (0.497, 0.776, 0.004)
Pt (0.503, 0.224, 0.996)
Pt (0.776, 0.497, 0.504)

Top 8 peaks for 2θ = 15–90°, by intensity:
d/Å	2θ (°)	Rel. int.
3.981	22.33	100
4.947	17.93	70
2.282	39.50	64
2.473	36.33	42
1.935	46.95	40
2.384	37.73	37
2.452	36.65	33
2.604	34.44	32

=====

Record 5
Starting from DFT lattice parameters and positions (GGA-PBE), the PXRD pattern of YV2Fe10 was calculated for Cu Kα, 1.54184 Å.
Intensities are scaled so that the largest is 100.

Cell: 6.439 6.439 6.439 Å, 137.28 97.99 97.26°
Atoms (fractional coordinates):
Y (0.000, 0.000, 0.000)
V (0.359, 0.359, 0.000)
V (0.641, 0.641, 0.000)
Fe (0.000, 0.000, 0.500)
Fe (0.000, 0.500, 0.000)
Fe (0.226, 0.500, 0.726)
Fe (0.229, 0.729, 0.500)
Fe (0.359, 0.000, 0.359)
Fe (0.500, 0.000, 0.000)
Fe (0.500, 0.500, 0.500)
Fe (0.641, 0.000, 0.641)
Fe (0.771, 0.271, 0.500)
Fe (0.774, 0.500, 0.274)

Top 8 peaks for 2θ = 15–90°, by intensity:
d/Å	2θ (°)	Rel. int.
2.052	44.13	100
2.100	43.07	71
1.847	49.34	68
2.105	42.97	61
2.128	42.49	53
2.112	42.81	44
1.890	48.13	34
2.949	30.31	31

=====

Record 6
Starting from DFT lattice parameters and positions (GGA-PBE), the PXRD pattern of NdZrO3 was calculated for Cu Kα, 1.54184 Å.
Intensities are scaled so that the largest is 100.

Cell: 6.150 11.317 8.226 Å, 90.00 90.00 90.00°
Atoms (fractional coordinates):
Nd (0.240, 0.143, 0.000)
Nd (0.242, 0.607, 0.500)
Nd (0.258, 0.107, 0.500)
Nd (0.260, 0.643, 0.000)
Nd (0.740, 0.357, 0.000)
Nd (0.742, 0.893, 0.500)
Nd (0.758, 0.393, 0.500)
Nd (0.760, 0.857, 0.000)
Zr (0.249, 0.375, 0.250)
Zr (0.249, 0.375, 0.750)
Zr (0.251, 0.875, 0.250)
Zr (0.251, 0.875, 0.750)
Zr (0.749, 0.125, 0.250)
Zr (0.749, 0.125, 0.750)
Zr (0.751, 0.625, 0.250)
Zr (0.751, 0.625, 0.750)
O (0.000, 0.000, 0.323)
O (0.000, 0.000, 0.677)
O (0.000, 0.500, 0.314)
O (0.000, 0.500, 0.686)
O (0.005, 0.746, 0.181)
O (0.005, 0.746, 0.819)
O (0.226, 0.315, 0.500)
O (0.241, 0.935, 0.000)
O (0.259, 0.435, 0.000)
O (0.274, 0.815, 0.500)
O (0.495, 0.246, 0.181)
O (0.495, 0.246, 0.819)
O (0.500, 0.000, 0.314)
O (0.500, 0.000, 0.686)
O (0.500, 0.500, 0.323)
O (0.500, 0.500, 0.677)
O (0.505, 0.754, 0.181)
O (0.505, 0.754, 0.819)
O (0.726, 0.185, 0.500)
O (0.741, 0.565, 0.000)
O (0.759, 0.065, 0.000)
O (0.774, 0.685, 0.500)
O (0.995, 0.254, 0.181)
O (0.995, 0.254, 0.819)

Top 8 peaks for 2θ = 15–90°, by intensity:
d/Å	2θ (°)	Rel. int.
2.926	30.55	100
3.075	29.04	28
2.082	43.47	25
1.745	52.43	22
1.651	55.65	17
2.829	31.62	17
1.709	53.61	13
1.463	63.59	12

=====

Record 7
Starting from DFT lattice parameters and positions (GGA-PBE), the PXRD pattern of MgAu was calculated for Cu Kα, 1.54184 Å.
Intensities are scaled so that the largest is 100.

Cell: 3.305 3.305 3.305 Å, 90.00 90.00 90.00°
Atoms (fractional coordinates):
Mg (0.000, 0.000, 0.000)
Au (0.500, 0.500, 0.500)

Top 8 peaks for 2θ = 15–90°, by intensity:
d/Å	2θ (°)	Rel. int.
2.337	38.52	100
3.305	26.98	74
1.349	69.69	36
1.478	62.87	29
1.908	47.66	22
1.653	55.61	17
1.102	88.81	16
1.169	82.56	11

=====

Record 8
Starting from DFT lattice parameters and positions (GGA-PBE), the PXRD pattern of SmRh was calculated for Cu Kα, 1.54184 Å.
Intensities are scaled so that the largest is 100.

Cell: 3.505 3.505 3.505 Å, 90.00 90.00 90.00°
Atoms (fractional coordinates):
Sm (0.000, 0.000, 0.000)
Rh (0.500, 0.500, 0.500)

Top 8 peaks for 2θ = 15–90°, by intensity:
d/Å	2θ (°)	Rel. int.
2.479	36.24	100
1.431	65.19	36
1.753	52.19	17
1.108	88.13	16
1.239	76.93	11
3.505	25.41	4
1.568	58.92	2
2.024	44.78	1